1.
For Nd2Er3Ge4, a cell relaxed with PBE gives the simulated powder XRD pattern in this record (a wavelength of 1.5418 Å).

Crystal structure
a = 7.918 Å, b = 7.854 Å, c = 7.634 Å
α = 90.00°, β = 110.87°, γ = 90.00°
Space group P2_1/c (No. 14)
Asymmetric unit:
Nd1 0.195 0.180 0.067 x4
Er1 0.243 0.665 0.238 x4
Er2 0.500 0.000 0.500 x2
Ge1 0.086 0.540 0.839 x4
Ge2 0.493 0.131 0.868 x4

Main lines, by angle (2θ from 10° to 80°):
| Position (°2θ) | d (Å) | I/Imax |
| --- | --- | --- |
| 30.16 | 2.963 | 35 |
| 30.48 | 2.933 | 31 |
| 32.35 | 2.768 | 100 |
| 32.87 | 2.724 | 48 |
| 33.27 | 2.693 | 58 |
| 33.54 | 2.672 | 92 |
| 36.16 | 2.484 | 32 |
| 36.43 | 2.466 | 35 |
| 36.56 | 2.458 | 48 |
| 37.15 | 2.420 | 95 |



2.
For Ti2Tl2CuSe6, a cell relaxed with PBE gives the simulated powder XRD pattern in this record (a wavelength of 1.5418 Å).

Crystal structure
a = 6.380 Å, b = 11.364 Å, c = 8.037 Å
α = 90.00°, β = 106.08°, γ = 90.00°
Space group C2/m (No. 12)
Asymmetric unit:
Ti1 0.000 0.173 0.000 x4
Tl1 0.000 0.338 0.500 x4
Cu1 0.000 0.500 0.000 x2
Se1 0.232 0.000 0.176 x4
Se2 0.240 0.330 0.192 x8

Main lines, by angle (2θ from 10° to 80°):
| Position (°2θ) | d (Å) | I/Imax |
| --- | --- | --- |
| 16.43 | 5.395 | 23 |
| 31.60 | 2.831 | 100 |
| 31.85 | 2.809 | 43 |
| 33.55 | 2.671 | 32 |
| 34.84 | 2.575 | 20 |
| 41.59 | 2.171 | 27 |
| 42.43 | 2.131 | 17 |
| 48.04 | 1.894 | 16 |
| 49.13 | 1.854 | 30 |
| 58.80 | 1.570 | 16 |



3.
For NdHo5Tl4, a cell relaxed with PBE gives the simulated powder XRD pattern in this record (a wavelength of 1.5418 Å).

Crystal structure
a = 3.599 Å, b = 3.599 Å, c = 21.870 Å
α = 90.00°, β = 90.00°, γ = 90.00°
Space group P4/mmm (No. 123)
Asymmetric unit:
Nd1 0.000 0.000 0.000 x1
Ho1 0.500 0.500 0.117 x2
Ho2 0.500 0.500 0.308 x2
Ho3 0.500 0.500 0.500 x1
Tl1 0.000 0.000 0.212 x2
Tl2 0.000 0.000 0.404 x2

Main lines, by angle (2θ from 10° to 80°):
| Position (°2θ) | d (Å) | I/Imax |
| --- | --- | --- |
| 32.21 | 2.779 | 100 |
| 35.04 | 2.561 | 8 |
| 35.27 | 2.545 | 44 |
| 41.28 | 2.187 | 9 |
| 50.73 | 1.799 | 16 |
| 55.39 | 1.659 | 16 |
| 58.95 | 1.567 | 6 |
| 61.38 | 1.510 | 32 |
| 67.39 | 1.390 | 9 |
| 74.22 | 1.278 | 5 |



4.
For MnAlFeMo, a cell relaxed with PBE gives the simulated powder XRD pattern in this record (a wavelength of 1.5418 Å).

Crystal structure
a = 3.028 Å, b = 3.997 Å, c = 8.401 Å
α = 90.00°, β = 90.00°, γ = 90.00°
Space group Imm2 (No. 44)
Asymmetric unit:
Mn1 0.000 0.000 0.000 x2
Al1 0.000 0.500 0.748 x2
Fe1 0.000 0.500 0.254 x2
Mo1 0.000 0.000 0.511 x2

Main lines, by angle (2θ from 10° to 80°):
| Position (°2θ) | d (Å) | I/Imax |
| --- | --- | --- |
| 21.15 | 4.201 | 13 |
| 24.67 | 3.609 | 12 |
| 43.07 | 2.100 | 25 |
| 43.23 | 2.093 | 100 |
| 45.38 | 1.998 | 22 |
| 61.22 | 1.514 | 8 |
| 64.35 | 1.448 | 14 |
| 77.76 | 1.228 | 8 |
| 79.07 | 1.211 | 15 |
| 79.41 | 1.207 | 8 |



5.
For Na3Si2P4, a cell relaxed with PBE gives the simulated powder XRD pattern in this record (a wavelength of 1.5418 Å).

Crystal structure
a = 13.014 Å, b = 9.742 Å, c = 6.141 Å
α = 90.00°, β = 90.90°, γ = 90.00°
Space group C2/c (No. 15)
Asymmetric unit:
Na1 0.000 0.099 0.250 x4
Na2 0.111 0.367 0.987 x8
Si1 0.211 0.118 0.577 x8
P1 0.126 0.316 0.492 x8
P2 0.164 0.084 0.929 x8

Main lines, by angle (2θ from 10° to 80°):
| Position (°2θ) | d (Å) | I/Imax |
| --- | --- | --- |
| 13.61 | 6.506 | 73 |
| 26.96 | 3.307 | 50 |
| 27.21 | 3.278 | 56 |
| 27.42 | 3.253 | 35 |
| 29.08 | 3.070 | 100 |
| 32.02 | 2.795 | 42 |
| 35.71 | 2.514 | 77 |
| 36.91 | 2.435 | 53 |
| 37.70 | 2.386 | 73 |
| 41.13 | 2.195 | 35 |



6.
For LaCo5, a cell relaxed with PBE gives the simulated powder XRD pattern in this record (a wavelength of 1.5418 Å).

Crystal structure
a = 5.072 Å, b = 8.702 Å, c = 7.882 Å
α = 90.00°, β = 90.00°, γ = 90.00°
Space group Cccm (No. 66)
Asymmetric unit:
La1 0.000 0.000 0.000 x4
Co1 0.000 0.500 0.250 x4
Co2 0.033 0.338 0.000 x8
Co3 0.250 0.250 0.260 x8

Main lines, by angle (2θ from 10° to 80°):
| Position (°2θ) | d (Å) | I/Imax |
| --- | --- | --- |
| 30.54 | 2.927 | 70 |
| 35.66 | 2.518 | 31 |
| 41.20 | 2.191 | 40 |
| 41.51 | 2.176 | 16 |
| 42.38 | 2.133 | 48 |
| 42.61 | 2.122 | 100 |
| 46.06 | 1.971 | 38 |
| 63.49 | 1.465 | 20 |
| 68.51 | 1.370 | 20 |
| 75.53 | 1.259 | 20 |